Pr2PaHg3Te6: theoretical powder diffractogram (Cu Ka), based on a structure optimized by DFT (GGA-PBE).
No peak broadening, texture or thermal motion is included.

Crystal structure
```
Pr2PaHg3Te6
1.0
3.8631 -6.6885 0.0000
3.8631 6.6885 0.0000
-2.5704 0.0000 8.6031
Pr Pa Hg Te
2 1 3 6
direct
0.1664 0.8336 0.0000
0.8336 0.1664 0.0000
0.5000 0.5000 0.0000
0.0000 0.0000 0.5000
0.3314 0.6686 0.5000
0.6686 0.3314 0.5000
0.1160 0.4306 0.7908
0.2552 0.2552 0.2090
0.4306 0.1160 0.7908
0.5694 0.8840 0.2092
0.7448 0.7448 0.7910
0.8840 0.5694 0.2092
```

Principal peaks in the range 2θ from 5° to 70°, low angle first:
2theta	I/Imax
24.05	6
26.90	100
36.28	40
40.45	35
42.03	10
49.25	19
55.45	12
59.74	15
62.39	5
65.56	15